Cu8O: simulated powder diffraction line list (copper Kα), based on a structure optimized by DFT (GGA-PBE).
Lines closer than 0.1° are merged.

Crystal structure
Lattice parameters (Å, degrees): 5.363 5.515 7.301 90.00 90.00 90.00
Space group Amm2 (No. 38)
Unique sites:
Cu (0.000, 0.211, 0.000)
Cu (0.265, 0.000, 0.264)
Cu (0.284, 0.000, 0.784)
Cu (0.500, 0.247, 0.523)
O (0.000, 0.000, 0.628)

Most intense lines, 2θ = 10–90°, by intensity:
41.0 deg, rel. 100, hkl 0 2 2
41.8 deg, rel. 97, hkl 2 0 2
47.3 deg, rel. 60, hkl 2 2 0
71.2 deg, rel. 32, hkl 2 2 4
50.0 deg, rel. 26, hkl 0 0 4
83.1 deg, rel. 18, hkl 2 4 2
84.6 deg, rel. 17, hkl 4 2 2
68.0 deg, rel. 9, hkl 0 4 0

***

UBC: simulated powder diffraction line list (copper Kα), based on a structure optimized by DFT (GGA-PBE).
Lines closer than 0.1° are merged.

Crystal structure
Lattice parameters (Å, degrees): 3.629 11.945 3.286 90.00 90.00 90.00
Space group Cmcm (No. 63)
Unique sites:
U (0.000, 0.138, 0.250)
B (0.000, 0.466, 0.250)
C (0.000, 0.334, 0.250)

Most intense lines, 2θ = 10–90°, by intensity:
31.1 deg, rel. 100, hkl 0 2 1
37.7 deg, rel. 92, hkl 1 1 1
33.4 deg, rel. 68, hkl 1 3 0
53.8 deg, rel. 67, hkl 1 5 1
25.7 deg, rel. 63, hkl 1 1 0
29.9 deg, rel. 57, hkl 0 4 0
60.3 deg, rel. 33, hkl 2 2 1
43.6 deg, rel. 27, hkl 1 3 1